No. 1
This entry pairs a crystal structure of ThSi2Pt2 with its simulated powder diffractogram. Radiation: Cu Kα. Structure: the GGA-PBE geometry in the Materials Project.
No peak broadening, texture or thermal motion is included.

Top 10 peaks for 10 to 90 degrees two-theta, sorted by position:
d/Å  Rel. int.  index
3.919  25  1 0 1
2.625  19  1 0 3
2.580  100  1 1 2
2.500  19  0 0 4
2.130  34  2 0 0
1.621  21  2 0 4
1.506  12  2 2 0
1.458  17  1 1 6
1.301  24  3 1 2
1.290  10  2 2 4

```
data_ThSi2Pt2
_cell_length_a 4.259
_cell_length_b 4.259
_cell_length_c 10.000
_cell_angle_alpha 90.00
_cell_angle_beta 90.00
_cell_angle_gamma 90.00
_symmetry_space_group_name_H-M 'I 4/m m m'
_symmetry_Int_Tables_number 139
_symmetry_space_group_name_Hall '-I 4 2'
loop_
_atom_site_label
_atom_site_type_symbol
_atom_site_fract_x
_atom_site_fract_y
_atom_site_fract_z
Th1 Th 0.000 0.000 0.000
Si1 Si 0.000 0.000 0.381
Pt1 Pt 0.000 0.500 0.250
```

=====

No. 2
This entry pairs a crystal structure of MgP2H18O18 with its simulated powder diffractogram. Radiation: Cu Kα. Structure: the GGA-PBE geometry in the Materials Project.
No peak broadening, texture or thermal motion is included.

Top 10 peaks for 10 to 90 degrees two-theta, sorted by position:
d/Å  Rel. int.  index
6.435  95  0 1 0
5.189  100  1 0 1
5.101  51  1 1 1
3.304  33  0 1 3
3.218  37  0 2 0
3.085  35  0 2 2
2.988  37  1 1 -2
2.929  33  1 -1 2
2.742  38  2 0 0
2.598  40  1 1 4

```
data_MgP2H18O18
_cell_length_a 5.876
_cell_length_b 7.030
_cell_length_c 10.606
_cell_angle_alpha 71.50
_cell_angle_beta 75.22
_cell_angle_gamma 71.32
_symmetry_space_group_name_H-M 'P -1'
_symmetry_Int_Tables_number 2
loop_
_symmetry_equiv_pos_as_xyz
'x,y,z'
'-x,-y,-z'
loop_
_atom_site_label
_atom_site_type_symbol
_atom_site_fract_x
_atom_site_fract_y
_atom_site_fract_z
Mg1 Mg 0.000 0.000 0.000
P1 P 0.325 0.072 0.682
H1 H 0.118 0.030 0.215
H2 H 0.180 0.584 0.727
H3 H 0.215 0.617 0.944
H4 H 0.220 0.594 0.101
H5 H 0.243 0.358 0.328
H6 H 0.249 0.366 0.826
H7 H 0.338 0.710 0.478
H8 H 0.381 0.987 0.124
H9 H 0.441 0.479 0.248
O1 O 0.140 0.981 0.654
O2 O 0.167 0.707 0.526
O3 O 0.200 0.694 0.011
O4 O 0.207 0.028 0.122
O5 O 0.258 0.511 0.807
O6 O 0.261 0.098 0.827
O7 O 0.264 0.488 0.261
O8 O 0.353 0.277 0.577
O9 O 0.413 0.071 0.341
```

=====

No. 3
This entry pairs a crystal structure of KFeN with its simulated powder diffractogram. Radiation: Cu Kα. Structure: the GGA-PBE geometry in the Materials Project.
No peak broadening, texture or thermal motion is included.

Top 10 peaks for 10 to 90 degrees two-theta, sorted by position:
d/Å  Rel. int.  index
5.510  35  0 0 3
2.755  60  0 0 6
2.540  100  0 1 2
2.242  88  1 0 4
1.634  22  0 1 8
1.541  28  1 1 0
1.405  19  1 0 10
1.345  30  1 1 6
1.317  11  2 0 2
1.270  12  0 2 4

```
data_KFeN
_cell_length_a 3.0817
_cell_length_b 3.0817
_cell_length_c 16.5308
_cell_angle_alpha 90.00
_cell_angle_beta 90.00
_cell_angle_gamma 120.00
_symmetry_space_group_name_H-M 'R 3 m'
_symmetry_Int_Tables_number 160
_symmetry_space_group_name_Hall 'R 3 -2"'
loop_
_atom_site_label
_atom_site_type_symbol
_atom_site_fract_x
_atom_site_fract_y
_atom_site_fract_z
K1 K 0.0000 0.0000 0.0000
Fe1 Fe 0.0000 0.0000 0.5068
N1 N 0.0000 0.0000 0.1983
```

=====

No. 4
This entry pairs a crystal structure of Sr2LiO12 with its simulated powder diffractogram. Radiation: Cu Kα. Structure: the GGA-PBE geometry in the Materials Project.
No peak broadening, texture or thermal motion is included.

Top 10 peaks for 10 to 90 degrees two-theta, sorted by position:
d/Å  Rel. int.  index
5.005  100  0 1 1
4.771  66  1 0 0
4.400  39  1 0 1
4.140  48  1 1 0
3.837  34  0 0 2
2.810  41  0 1 -2
2.769  34  1 0 -2
2.745  45  0 2 1
2.433  36  1 0 3
2.396  34  2 0 1

```
data_Sr2LiO12
_cell_length_a 5.105
_cell_length_b 5.823
_cell_length_c 8.175
_cell_angle_alpha 72.24
_cell_angle_beta 75.53
_cell_angle_gamma 71.49
_symmetry_space_group_name_H-M 'P 1'
_symmetry_Int_Tables_number 1
loop_
_symmetry_equiv_pos_as_xyz
'x,y,z'
loop_
_atom_site_label
_atom_site_type_symbol
_atom_site_fract_x
_atom_site_fract_y
_atom_site_fract_z
Sr1 Sr 0.000 0.000 0.000
Sr2 Sr 0.219 0.643 0.526
Li1 Li 0.065 0.333 0.258
O1 O 0.018 0.123 0.541
O2 O 0.085 0.650 0.852
O3 O 0.124 0.434 0.976
O4 O 0.136 0.182 0.643
O5 O 0.296 0.977 0.229
O6 O 0.451 0.342 0.305
O7 O 0.489 0.943 0.086
O8 O 0.624 0.266 0.670
O9 O 0.695 0.296 0.206
O10 O 0.716 0.723 0.445
O11 O 0.722 0.339 0.769
O12 O 0.906 0.679 0.302
```

=====

No. 5
This entry pairs a crystal structure of Ba2SrI6 with its simulated powder diffractogram. Radiation: Cu Kα. Structure: the GGA-PBE geometry in the Materials Project.
No peak broadening, texture or thermal motion is included.

Top 10 peaks for 10 to 90 degrees two-theta, sorted by position:
d/Å  Rel. int.  index
5.653  53  1 1 0
3.829  100  1 1 3
3.575  36  2 1 0
2.947  67  2 1 3
2.826  34  2 2 0
2.603  24  0 0 6
2.372  59  3 0 3
1.915  21  2 2 6
1.527  21  3 3 6
1.428  21  5 2 3

```
data_Ba2SrI6
_cell_length_a 7.994
_cell_length_b 7.994
_cell_length_c 15.617
_cell_angle_alpha 90.00
_cell_angle_beta 90.00
_cell_angle_gamma 90.00
_symmetry_space_group_name_H-M 'P 42/m n m'
_symmetry_Int_Tables_number 136
_symmetry_space_group_name_Hall '-P 4n 2n'
loop_
_atom_site_label
_atom_site_type_symbol
_atom_site_fract_x
_atom_site_fract_y
_atom_site_fract_z
Ba1 Ba 0.000 0.000 0.167
Sr1 Sr 0.000 0.000 0.500
I1 I 0.192 0.192 0.340
I2 I 0.205 0.205 0.000
```

=====

No. 6
This entry pairs a crystal structure of MgBi2O4 with its simulated powder diffractogram. Radiation: Cu Kα. Structure: the GGA-PBE geometry in the Materials Project.
No peak broadening, texture or thermal motion is included.

Top 10 peaks for 10 to 90 degrees two-theta, sorted by position:
d/Å  Rel. int.  index
4.890  55  2 0 -1
3.546  100  1 1 0
3.173  58  2 0 1
3.005  46  4 0 -1
2.805  49  2 0 -2
2.753  67  1 1 1
2.677  57  3 1 -1
2.220  33  1 1 -2
2.104  25  3 1 1
1.907  34  5 1 0

```
data_MgBi2O4
_cell_length_a 12.145
_cell_length_b 3.743
_cell_length_c 5.619
_cell_angle_alpha 90.00
_cell_angle_beta 114.13
_cell_angle_gamma 90.00
_symmetry_space_group_name_H-M 'C 1 m 1'
_symmetry_Int_Tables_number 8
loop_
_symmetry_equiv_pos_as_xyz
'x,y,z'
'x,-y,z'
'x+1/2,y+1/2,z'
'x+1/2,-y+1/2,z'
loop_
_atom_site_label
_atom_site_type_symbol
_atom_site_fract_x
_atom_site_fract_y
_atom_site_fract_z
Mg1 Mg 0.000 0.000 0.000
Bi1 Bi 0.199 0.000 0.720
Bi2 Bi 0.385 0.000 0.377
O1 O 0.184 0.000 0.080
O2 O 0.309 0.500 0.857
O3 O 0.486 0.500 0.605
O4 O 0.493 0.000 0.160
```

=====

No. 7
This entry pairs a crystal structure of BaAs2Pd2 with its simulated powder diffractogram. Radiation: Cu Kα. Structure: the GGA-PBE geometry in the Materials Project.
No peak broadening, texture or thermal motion is included.

Top 10 peaks for 10 to 90 degrees two-theta, sorted by position:
d/Å  Rel. int.  index
3.515  38  1 0 1
2.751  100  1 1 1
2.423  51  1 0 2
2.210  61  2 0 0
2.125  24  1 1 2
1.643  30  1 1 3
1.633  30  2 1 2
1.563  20  2 2 0
1.359  22  3 1 1
1.132  18  3 1 3

```
data_BaAs2Pd2
_cell_length_a 4.421
_cell_length_b 4.421
_cell_length_c 5.794
_cell_angle_alpha 90.00
_cell_angle_beta 90.00
_cell_angle_gamma 90.00
_symmetry_space_group_name_H-M 'P 4/m m m'
_symmetry_Int_Tables_number 123
_symmetry_space_group_name_Hall '-P 4 2'
loop_
_atom_site_label
_atom_site_type_symbol
_atom_site_fract_x
_atom_site_fract_y
_atom_site_fract_z
Ba1 Ba 0.000 0.000 0.000
As1 As 0.500 0.500 0.267
Pd1 Pd 0.000 0.500 0.500
```

=====

No. 8
This entry pairs a crystal structure of GdCd with its simulated powder diffractogram. Radiation: Cu Kα. Structure: the GGA-PBE geometry in the Materials Project.
No peak broadening, texture or thermal motion is included.

Top 9 peaks for 10 to 90 degrees two-theta, sorted by position:
d/Å  Rel. int.  index
3.772  3  1 0 0
2.667  100  1 1 0
2.178  1  1 1 1
1.886  18  2 0 0
1.687  1  2 1 0
1.540  37  2 1 1
1.334  11  2 2 0
1.257  1  3 0 0
1.193  16  3 1 0

```
data_GdCd
_cell_length_a 3.772
_cell_length_b 3.772
_cell_length_c 3.772
_cell_angle_alpha 90.00
_cell_angle_beta 90.00
_cell_angle_gamma 90.00
_symmetry_space_group_name_H-M 'P m -3 m'
_symmetry_Int_Tables_number 221
_symmetry_space_group_name_Hall '-P 4 2 3'
loop_
_atom_site_label
_atom_site_type_symbol
_atom_site_fract_x
_atom_site_fract_y
_atom_site_fract_z
Gd1 Gd 0.000 0.000 0.000
Cd1 Cd 0.500 0.500 0.500
```